Ba2Co3O8: simulated XRD peak list (λ = 1.5418 Å (Cu Kα)), based on a structure optimized by DFT (PBE+U).

Largest 10 diffraction maxima, in order of rising 2θ, 2θ from 10° to 80°:
2θ = 13.45°, intensity 13
2θ = 24.30°, intensity 15
2θ = 27.05°, intensity 26
2θ = 31.07°, intensity 100
2θ = 33.22°, intensity 35
2θ = 41.14°, intensity 19
2θ = 47.69°, intensity 27
2θ = 53.87°, intensity 15
2θ = 58.02°, intensity 33
2θ = 64.77°, intensity 18

```
Ba2Co3O8
1.0
3.814 0.000 0.000
0.000 3.814 0.000
0.000 0.000 13.165
Ba Co O
2 3 8
Cartesian
0.000 0.000 2.183
0.000 0.000 10.982
1.907 1.907 0.000
1.907 1.907 4.564
1.907 1.907 8.600
0.000 1.907 0.000
0.000 1.907 4.445
0.000 1.907 8.720
1.907 0.000 0.000
1.907 0.000 4.445
1.907 0.000 8.720
1.907 1.907 1.815
1.907 1.907 11.350
```